Record 1
# Cu2WF11
Theoretical X-ray powder pattern, a wavelength of 1.5418 Å. Input: DFT lattice parameters and positions (PBE+U).

The 10 most intense peaks (2θ = 5–70°), in order of falling intensity:
23.49°, I 100
22.91°, I 42
17.00°, I 39
16.22°, I 30
34.35°, I 20
28.76°, I 16
45.11°, I 16
43.91°, I 14
33.11°, I 14
55.41°, I 13

Structural model:
a = 8.312 Å, b = 8.312 Å, c = 8.312 Å
α = 138.17°, β = 97.82°, γ = 96.82°
Sites, in units of the cell vectors:
Cu 0.136 0.185 0.321
Cu 0.364 0.685 0.049
Cu 0.636 0.315 0.951
Cu 0.864 0.815 0.679
W 0.250 0.750 0.500
W 0.750 0.250 0.500
F 0.000 0.000 0.000
F 0.027 0.508 0.278
F 0.072 0.949 0.673
F 0.224 0.551 0.124
F 0.230 0.749 0.722
F 0.242 0.897 0.138
F 0.258 0.397 0.655
F 0.270 0.992 0.519
F 0.276 0.400 0.327
F 0.428 0.100 0.876
F 0.473 0.751 0.481
F 0.500 0.500 0.000
F 0.527 0.249 0.519
F 0.572 0.900 0.124
F 0.724 0.600 0.673
F 0.730 0.008 0.481
F 0.742 0.603 0.345
F 0.758 0.103 0.862
F 0.770 0.251 0.278
F 0.776 0.449 0.876
F 0.928 0.051 0.327
F 0.973 0.492 0.722

=====

Record 2
# BaVAgO4
Theoretical X-ray powder pattern, a wavelength of 1.5418 Å. Input: DFT lattice parameters and positions (PBE+U).

The 10 most intense peaks (2θ = 5–70°), in order of falling intensity:
28.27°, I 100
17.20°, I 49
50.04°, I 38
33.28°, I 27
44.21°, I 16
58.46°, I 16
66.18°, I 16
40.40°, I 12
53.30°, I 11
61.42°, I 9

Structural model:
a = 6.315 Å, b = 6.315 Å, c = 6.315 Å
α = 60.00°, β = 60.00°, γ = 60.00°
Sites, in units of the cell vectors:
Ba 0.000 0.000 0.000
V 0.500 0.500 0.500
Ag 0.750 0.750 0.750
O 0.165 0.612 0.612
O 0.612 0.165 0.612
O 0.612 0.612 0.165
O 0.612 0.612 0.612

=====

Please write out number 1 again, unchanged.
# Cu2WF11
Theoretical X-ray powder pattern, a wavelength of 1.5418 Å. Input: DFT lattice parameters and positions (PBE+U).

The 10 most intense peaks (2θ = 5–70°), in order of falling intensity:
23.49°, I 100
22.91°, I 42
17.00°, I 39
16.22°, I 30
34.35°, I 20
28.76°, I 16
45.11°, I 16
43.91°, I 14
33.11°, I 14
55.41°, I 13

Structural model:
a = 8.312 Å, b = 8.312 Å, c = 8.312 Å
α = 138.17°, β = 97.82°, γ = 96.82°
Sites, in units of the cell vectors:
Cu 0.136 0.185 0.321
Cu 0.364 0.685 0.049
Cu 0.636 0.315 0.951
Cu 0.864 0.815 0.679
W 0.250 0.750 0.500
W 0.750 0.250 0.500
F 0.000 0.000 0.000
F 0.027 0.508 0.278
F 0.072 0.949 0.673
F 0.224 0.551 0.124
F 0.230 0.749 0.722
F 0.242 0.897 0.138
F 0.258 0.397 0.655
F 0.270 0.992 0.519
F 0.276 0.400 0.327
F 0.428 0.100 0.876
F 0.473 0.751 0.481
F 0.500 0.500 0.000
F 0.527 0.249 0.519
F 0.572 0.900 0.124
F 0.724 0.600 0.673
F 0.730 0.008 0.481
F 0.742 0.603 0.345
F 0.758 0.103 0.862
F 0.770 0.251 0.278
F 0.776 0.449 0.876
F 0.928 0.051 0.327
F 0.973 0.492 0.722